(1)
This entry pairs a crystal structure of Ti6FePb with its calculated X-ray diffraction stick pattern. Radiation: CuKα. Structure: a structure optimized by DFT (GGA-PBE).
Lines closer than 0.1° are merged.

Main lines, by intensity (2θ = 10–90°):
two_theta	d_spacing	Rel. int.	hkl
42.1	2.148	100	1 2 2
33.9	2.647	89	2 1 1
40.6	2.223	78	2 2 0
30.4	2.942	75	0 1 2
20.0	4.445	75	1 1 0
18.1	4.907	34	1 0 1
51.5	1.774	23	3 1 2
60.3	1.535	21	2 2 3

Cell lengths 8.8905, 8.8905, 6.3683 Å; angles 90.00, 90.00, 120.00 degrees
Space group R-3m (No. 166, hexagonal axes)
Unique sites:
Ti 0.0504 0.5252 0.2988 (multiplicity 18)
Fe 0.0000 0.0000 0.5000 (multiplicity 3)
Pb 0.0000 0.0000 0.0000 (multiplicity 3)

(2)
This entry pairs a crystal structure of YIn2Si with its calculated X-ray diffraction stick pattern. Radiation: CuKα. Structure: a structure optimized by DFT (GGA-PBE).
Lines closer than 0.1° are merged.

Main lines, by intensity (2θ = 10–90°):
two_theta	d_spacing	Rel. int.	hkl
31.7	2.823	100	1 1 0
31.4	2.849	45	1 0 1
38.3	2.348	32	0 1 2
38.8	2.324	30	1 1 -2
42.8	2.112	20	2 0 -1
30.9	2.894	18	0 0 2
58.8	1.570	18	2 1 1
45.2	2.008	17	0 2 0

Cell lengths 4.225, 4.016, 6.160 Å; angles 90.00, 110.04, 90.00 degrees
Space group Pm (No. 6)
Unique sites:
Y 0.000 0.000 0.000 (multiplicity 1)
In 0.310 0.500 0.617 (multiplicity 1)
In 0.721 0.000 0.440 (multiplicity 1)
Si 0.543 0.500 0.088 (multiplicity 1)

(3)
This entry pairs a crystal structure of Na3UF8 with its calculated X-ray diffraction stick pattern. Radiation: CuKα. Structure: a structure optimized by DFT (GGA-PBE).
Lines closer than 0.1° are merged.

Main lines, by intensity (2θ = 10–90°):
two_theta	d_spacing	Rel. int.	hkl
18.0	4.916	100	1 0 1
28.1	3.172	69	1 1 2
46.8	1.943	55	2 2 0
16.2	5.485	33	0 0 2
44.4	2.040	28	2 1 3
37.5	2.400	26	2 1 1
22.9	3.889	26	1 1 0
29.3	3.045	25	1 0 3

Cell lengths 5.500, 5.500, 10.970 Å; angles 90.00, 90.00, 90.00 degrees
Space group I4/mmm (No. 139)
Unique sites:
Na 0.000 0.000 0.000 (multiplicity 2)
Na 0.000 0.500 0.250 (multiplicity 4)
U 0.000 0.000 0.500 (multiplicity 2)
F 0.232 0.232 0.384 (multiplicity 16)

Which formula does entry 3 have? Na3UF8

What did the third record say?
This entry pairs a crystal structure of Na3UF8 with its calculated X-ray diffraction stick pattern. Radiation: CuKα. Structure: a structure optimized by DFT (GGA-PBE).
Lines closer than 0.1° are merged.

Main lines, by intensity (2θ = 10–90°):
two_theta	d_spacing	Rel. int.	hkl
18.0	4.916	100	1 0 1
28.1	3.172	69	1 1 2
46.8	1.943	55	2 2 0
16.2	5.485	33	0 0 2
44.4	2.040	28	2 1 3
37.5	2.400	26	2 1 1
22.9	3.889	26	1 1 0
29.3	3.045	25	1 0 3

Cell lengths 5.500, 5.500, 10.970 Å; angles 90.00, 90.00, 90.00 degrees
Space group I4/mmm (No. 139)
Unique sites:
Na 0.000 0.000 0.000 (multiplicity 2)
Na 0.000 0.500 0.250 (multiplicity 4)
U 0.000 0.000 0.500 (multiplicity 2)
F 0.232 0.232 0.384 (multiplicity 16)